For NaGdCdTe3, a GGA-PBE-relaxed structure gives the computed powder diffraction line list in this record (CuKα).
No peak broadening, texture or thermal motion is included.

Structure:
abc: 11.748 4.417 14.771
angles: 90.00 90.00 90.00
Fractional coordinates of all 24 atoms:
Na: 0.236 0.250 0.020
Na: 0.264 0.750 0.520
Na: 0.736 0.250 0.480
Na: 0.764 0.750 0.980
Gd: 0.008 0.750 0.747
Gd: 0.492 0.250 0.247
Gd: 0.508 0.750 0.753
Gd: 0.992 0.250 0.253
Cd: 0.243 0.750 0.223
Cd: 0.257 0.250 0.723
Cd: 0.743 0.750 0.277
Cd: 0.757 0.250 0.777
Te: 0.050 0.750 0.110
Te: 0.068 0.250 0.606
Te: 0.242 0.250 0.345
Te: 0.258 0.750 0.845
Te: 0.432 0.750 0.106
Te: 0.450 0.250 0.610
Te: 0.550 0.750 0.390
Te: 0.568 0.250 0.894
Te: 0.742 0.250 0.155
Te: 0.758 0.750 0.655
Te: 0.932 0.750 0.394
Te: 0.950 0.250 0.890

Peak list (10 most intense, 10° ≤ 2θ ≤ 90°, sorted by position)
7.386 Å, 12.0°, I 63
3.982 Å, 22.3°, I 21
3.460 Å, 25.8°, I 33
3.288 Å, 27.1°, I 20
3.166 Å, 28.2°, I 37
2.937 Å, 30.4°, I 25
2.869 Å, 31.2°, I 100
2.267 Å, 39.8°, I 51
2.209 Å, 40.9°, I 26
2.082 Å, 43.5°, I 29

=====

For Tm3Lu2ZrTe2Os, a GGA-PBE-relaxed structure gives the computed powder diffraction line list in this record (CuKα).
No peak broadening, texture or thermal motion is included.

Structure:
abc: 3.911 8.030 8.030
angles: 116.78 90.00 90.00
Fractional coordinates of all 9 atoms:
Tm: 0.000 0.000 0.000
Tm: 0.000 0.509 0.746
Tm: 0.000 0.746 0.509
Lu: 0.500 0.139 0.754
Lu: 0.500 0.754 0.139
Zr: 0.500 0.355 0.355
Te: 0.000 0.097 0.419
Te: 0.000 0.419 0.097
Os: 0.500 0.774 0.774

Peak list (10 most intense, 10° ≤ 2θ ≤ 90°, sorted by position)
7.169 Å, 12.3°, I 46
2.865 Å, 31.2°, I 60
2.800 Å, 32.0°, I 100
2.643 Å, 33.9°, I 94
2.602 Å, 34.5°, I 41
2.574 Å, 34.9°, I 39
2.390 Å, 37.6°, I 58
2.249 Å, 40.1°, I 32
1.956 Å, 46.4°, I 41
1.484 Å, 62.6°, I 32

=====

For Y2NiSb2Pd, a GGA-PBE-relaxed structure gives the computed powder diffraction line list in this record (CuKα).
No peak broadening, texture or thermal motion is included.

Structure:
abc: 7.959 4.586 15.215
angles: 90.00 99.88 90.00
Fractional coordinates of all 24 atoms:
Y: 0.000 0.000 0.000
Y: 0.003 0.500 0.495
Y: 0.243 0.000 0.742
Y: 0.248 0.500 0.245
Y: 0.490 0.000 0.490
Y: 0.500 0.500 0.000
Y: 0.746 0.000 0.243
Y: 0.753 0.500 0.743
Ni: 0.061 0.000 0.185
Ni: 0.061 0.500 0.680
Ni: 0.308 0.500 0.430
Ni: 0.560 0.500 0.184
Sb: 0.123 0.500 0.866
Sb: 0.127 0.000 0.367
Sb: 0.366 0.500 0.616
Sb: 0.374 0.000 0.125
Sb: 0.615 0.500 0.367
Sb: 0.623 0.000 0.870
Sb: 0.876 0.500 0.126
Sb: 0.879 0.000 0.620
Pd: 0.310 0.000 0.934
Pd: 0.560 0.000 0.680
Pd: 0.810 0.000 0.431
Pd: 0.812 0.500 0.934

Peak list (10 most intense, 10° ≤ 2θ ≤ 90°, sorted by position)
3.748 Å, 23.7°, I 24
3.246 Å, 27.5°, I 23
2.295 Å, 39.3°, I 100
1.956 Å, 46.4°, I 8
1.874 Å, 48.6°, I 6
1.626 Å, 56.6°, I 5
1.621 Å, 56.8°, I 11
1.326 Å, 71.1°, I 11
1.324 Å, 71.2°, I 22
1.148 Å, 84.4°, I 7

=====

For TmSc4C2S, a GGA-PBE-relaxed structure gives the computed powder diffraction line list in this record (CuKα).
No peak broadening, texture or thermal motion is included.

Structure:
abc: 3.411 3.411 14.425
angles: 90.00 90.00 120.00
Fractional coordinates of all 8 atoms:
Tm: 0.000 0.000 0.000
Sc: 0.000 0.000 0.378
Sc: 0.000 0.000 0.622
Sc: 0.667 0.333 0.209
Sc: 0.667 0.333 0.791
C: 0.333 0.667 0.290
C: 0.333 0.667 0.710
S: 0.667 0.333 0.500

Peak list (10 most intense, 10° ≤ 2θ ≤ 90°, sorted by position)
7.212 Å, 12.3°, I 26
4.808 Å, 18.5°, I 23
2.954 Å, 30.3°, I 40
2.889 Å, 30.9°, I 44
2.733 Å, 32.8°, I 65
2.517 Å, 35.7°, I 100
2.064 Å, 43.9°, I 36
1.705 Å, 53.8°, I 28
1.539 Å, 60.1°, I 18
1.468 Å, 63.3°, I 20

=====

For TlAg3WS4, a GGA-PBE-relaxed structure gives the computed powder diffraction line list in this record (CuKα).
No peak broadening, texture or thermal motion is included.

Structure:
abc: 6.252 6.252 6.252
angles: 90.00 90.00 90.00
Fractional coordinates of all 9 atoms:
Tl: 0.000 0.000 0.000
Ag: 0.000 0.500 0.500
Ag: 0.500 0.000 0.500
Ag: 0.500 0.500 0.000
W: 0.500 0.500 0.500
S: 0.284 0.284 0.284
S: 0.284 0.716 0.716
S: 0.716 0.284 0.716
S: 0.716 0.716 0.284

Peak list (10 most intense, 10° ≤ 2θ ≤ 90°, sorted by position)
4.421 Å, 20.1°, I 67
3.609 Å, 24.7°, I 54
3.126 Å, 28.6°, I 68
2.552 Å, 35.2°, I 32
2.210 Å, 40.8°, I 100
1.885 Å, 48.3°, I 24
1.805 Å, 50.6°, I 20
1.671 Å, 55.0°, I 21
1.398 Å, 66.9°, I 28
1.276 Å, 74.3°, I 30

=====

For KSrPrSe3, a GGA-PBE-relaxed structure gives the computed powder diffraction line list in this record (CuKα).
No peak broadening, texture or thermal motion is included.

Structure:
abc: 7.611 7.611 11.350
angles: 90.00 90.00 144.82
Fractional coordinates of all 12 atoms:
K: 0.022 0.978 0.750
K: 0.978 0.022 0.250
Sr: 0.241 0.759 0.250
Sr: 0.759 0.241 0.750
Pr: 0.500 0.500 0.000
Pr: 0.500 0.500 0.500
Se: 0.139 0.861 0.538
Se: 0.139 0.861 0.962
Se: 0.398 0.602 0.750
Se: 0.602 0.398 0.250
Se: 0.861 0.139 0.038
Se: 0.861 0.139 0.462

Peak list (10 most intense, 10° ≤ 2θ ≤ 90°, sorted by position)
4.470 Å, 19.9°, I 30
3.355 Å, 26.6°, I 24
3.333 Å, 26.7°, I 39
3.198 Å, 27.9°, I 52
2.874 Å, 31.1°, I 100
2.838 Å, 31.5°, I 48
2.300 Å, 39.2°, I 35
2.253 Å, 40.0°, I 53
2.225 Å, 40.5°, I 27
1.787 Å, 51.1°, I 24

=====

For Sm2Br2NCl, a GGA-PBE-relaxed structure gives the computed powder diffraction line list in this record (CuKα).
No peak broadening, texture or thermal motion is included.

Structure:
abc: 9.028 9.028 11.509
angles: 122.24 122.24 25.45
Fractional coordinates of all 12 atoms:
Sm: 0.079 0.079 0.455
Sm: 0.362 0.362 0.215
Sm: 0.638 0.638 0.785
Sm: 0.921 0.921 0.545
Br: 0.161 0.161 0.008
Br: 0.275 0.275 0.382
Br: 0.725 0.725 0.618
Br: 0.839 0.839 0.992
N: 0.076 0.076 0.652
N: 0.924 0.924 0.348
Cl: 0.462 0.462 0.742
Cl: 0.538 0.538 0.258

Peak list (10 most intense, 10° ≤ 2θ ≤ 90°, sorted by position)
8.521 Å, 10.4°, I 100
3.404 Å, 26.2°, I 54
3.236 Å, 27.6°, I 29
2.854 Å, 31.3°, I 34
2.814 Å, 31.8°, I 46
2.772 Å, 32.3°, I 33
2.633 Å, 34.1°, I 26
2.503 Å, 35.9°, I 22
2.097 Å, 43.1°, I 18
1.989 Å, 45.6°, I 21

=====

For CsNb3Te5, a GGA-PBE-relaxed structure gives the computed powder diffraction line list in this record (CuKα).
No peak broadening, texture or thermal motion is included.

Structure:
abc: 6.070 6.070 8.896
angles: 90.00 90.00 120.00
Fractional coordinates of all 9 atoms:
Cs: 0.000 0.000 0.000
Nb: 0.000 0.500 0.500
Nb: 0.500 0.000 0.500
Nb: 0.500 0.500 0.500
Te: 0.000 0.000 0.500
Te: 0.333 0.667 0.248
Te: 0.333 0.667 0.752
Te: 0.667 0.333 0.248
Te: 0.667 0.333 0.752

Peak list (10 most intense, 10° ≤ 2θ ≤ 90°, sorted by position)
3.395 Å, 26.2°, I 81
3.035 Å, 29.4°, I 78
2.520 Å, 35.6°, I 18
2.507 Å, 35.8°, I 25
2.263 Å, 39.8°, I 100
2.224 Å, 40.6°, I 27
1.814 Å, 50.3°, I 27
1.794 Å, 50.9°, I 34
1.517 Å, 61.1°, I 24
1.253 Å, 75.9°, I 25